Record 1
Simulated powder X-ray diffraction pattern of CaB3O10 for CuKα, from a crystal structure in Alexandria, relaxed with PBE.

Peak list (12 most intense, 10° ≤ 2θ ≤ 90°, in order of rising 2θ)
- 2θ = 16.0°, intensity 100, (1 0 0)
- 2θ = 21.9°, intensity 31, (1 0 -2)
- 2θ = 24.9°, intensity 37, (1 1 -2)
- 2θ = 27.1°, intensity 30, (1 0 2)
- 2θ = 27.3°, intensity 35, (0 2 -1)
- 2θ = 27.4°, intensity 59, (0 1 -3)
- 2θ = 28.0°, intensity 30, (0 0 3)
- 2θ = 28.6°, intensity 24, (0 2 0)
- 2θ = 29.9°, intensity 24, (1 -2 0)
- 2θ = 37.2°, intensity 26, (2 1 -2)
- 2θ = 38.3°, intensity 23, (2 0 -3)
- 2θ = 42.1°, intensity 29, (1 -3 1)

a = 5.7394 Å, b = 6.6108 Å, c = 10.1252 Å
α = 105.25°, β = 99.24°, γ = 98.65°
Space group P-1 (No. 2)
Unique sites:
Ca 0.1546 0.1852 0.3897 (multiplicity 2)
B 0.1100 0.5534 0.8486 (multiplicity 2)
B 0.1702 0.6586 0.3671 (multiplicity 2)
B 0.2038 0.2064 0.7214 (multiplicity 2)
O 0.0081 0.7999 0.3957 (multiplicity 2)
O 0.0432 0.0874 0.0427 (multiplicity 2)
O 0.0732 0.4524 0.2642 (multiplicity 2)
O 0.1744 0.7193 0.9695 (multiplicity 2)
O 0.1955 0.0083 0.7431 (multiplicity 2)
O 0.2324 0.3892 0.8419 (multiplicity 2)
O 0.2676 0.5929 0.4945 (multiplicity 2)
O 0.3725 0.7855 0.3210 (multiplicity 2)
O 0.4091 0.2683 0.6417 (multiplicity 2)
O 0.4147 0.7509 0.6039 (multiplicity 2)

=====

Record 2
Simulated powder X-ray diffraction pattern of CaB4O7 for CuKα, from a crystal structure in Alexandria, relaxed with PBE.

Peak list (12 most intense, 10° ≤ 2θ ≤ 90°, in order of rising 2θ)
- 2θ = 30.4°, intensity 27, (1 1 1)
- 2θ = 32.2°, intensity 36, (3 1 0)
- 2θ = 32.8°, intensity 51, (3 0 1)
- 2θ = 33.8°, intensity 100, (2 1 1)
- 2θ = 39.3°, intensity 44, (4 1 0)
- 2θ = 40.9°, intensity 43, (0 2 0)
- 2θ = 42.7°, intensity 45, (0 0 2)
- 2θ = 45.0°, intensity 95, (4 1 1)
- 2θ = 46.1°, intensity 13, (2 0 2)
- 2θ = 46.4°, intensity 28, (0 2 1)
- 2θ = 48.4°, intensity 35, (1 1 2)
- 2θ = 73.4°, intensity 17, (4 3 0)

a = 10.7213 Å, b = 4.4145 Å, c = 4.2348 Å
α = 90.00°, β = 90.00°, γ = 90.00°
Space group Pmn2_1 (No. 31)
Unique sites:
Ca 0.0000 0.1894 0.0000 (multiplicity 2)
B 0.1207 0.6731 0.5048 (multiplicity 4)
B 0.2492 0.8224 0.0292 (multiplicity 4)
O 0.0000 0.7786 0.6145 (multiplicity 2)
O 0.1341 0.7262 0.1665 (multiplicity 4)
O 0.1389 0.3534 0.5807 (multiplicity 4)
O 0.2234 0.8648 0.6711 (multiplicity 4)

=====

Record 3
Simulated powder X-ray diffraction pattern of CaB3O6 for CuKα, from a crystal structure in Alexandria, relaxed with PBE.

Peak list (12 most intense, 10° ≤ 2θ ≤ 90°, in order of rising 2θ)
- 2θ = 23.7°, intensity 55, (0 1 1)
- 2θ = 23.9°, intensity 71, (2 0 1)
- 2θ = 24.6°, intensity 80, (1 1 1)
- 2θ = 25.3°, intensity 100, (0 2 0)
- 2θ = 27.1°, intensity 37, (2 1 1)
- 2θ = 28.4°, intensity 49, (2 2 0)
- 2θ = 32.9°, intensity 37, (4 0 1)
- 2θ = 40.6°, intensity 42, (2 3 0)
- 2θ = 40.8°, intensity 57, (0 0 2)
- 2θ = 43.6°, intensity 78, (0 3 1)
- 2θ = 46.3°, intensity 59, (6 1 1)
- 2θ = 47.1°, intensity 50, (6 2 0)

a = 13.8177 Å, b = 7.0484 Å, c = 4.4261 Å
α = 90.00°, β = 90.00°, γ = 90.00°
Space group Pna2_1 (No. 33)
Unique sites:
Ca 0.0894 0.2394 0.0000 (multiplicity 4)
B 0.0771 0.7280 0.0579 (multiplicity 4)
B 0.1477 0.8619 0.5668 (multiplicity 4)
B 0.2329 0.6147 0.8552 (multiplicity 4)
O 0.0217 0.3147 0.4707 (multiplicity 4)
O 0.0759 0.7732 0.3776 (multiplicity 4)
O 0.0998 0.8980 0.8672 (multiplicity 4)
O 0.1467 0.5691 0.9949 (multiplicity 4)
O 0.1782 0.0448 0.4361 (multiplicity 4)
O 0.2356 0.7449 0.6225 (multiplicity 4)

=====

Question: What is the formula in the first record?
Answer: CaB3O10